1.
Simulated powder diffraction line list of Cr3Mo for Cu Kα, from the PBE geometry in Alexandria.
Kinematic intensities with the Lorentz-polarization factor, no thermal factor.

Atomic structure:
```
Cr3Mo
1.0
4.194 -4.176 0.000
4.194 4.176 0.000
-0.016 0.000 5.929
Cr Mo
12 4
direct
0.000 0.000 0.000
0.000 0.000 0.494
0.000 0.504 0.495
0.001 0.505 0.000
0.249 0.754 0.250
0.251 0.753 0.745
0.504 0.000 0.495
0.504 0.504 0.496
0.505 0.001 0.000
0.753 0.251 0.745
0.754 0.249 0.250
0.755 0.755 0.249
0.249 0.249 0.250
0.249 0.249 0.745
0.505 0.505 0.001
0.756 0.756 0.744
```

Top 8 peaks for 2θ from 10° to 80°, in order of rising 2θ:
2θ/deg  I_rel
21.25  7
43.19  100
43.33  20
62.68  6
62.80  12
79.04  9
79.25  15
79.41  12

***

2.
Simulated powder diffraction line list of Pm2ErTh2 for Cu Kα, from the PBE geometry in Alexandria.
Kinematic intensities with the Lorentz-polarization factor, no thermal factor.

Atomic structure:
```
Pm2ErTh2
1.0
3.595 0.000 0.000
0.000 3.595 0.000
0.000 0.000 25.455
Pm Er Th
4 2 4
direct
0.000 0.000 0.102
0.000 0.000 0.898
0.500 0.500 0.398
0.500 0.500 0.602
0.000 0.000 0.500
0.500 0.500 0.000
0.000 0.000 0.298
0.000 0.000 0.702
0.500 0.500 0.202
0.500 0.500 0.798
```

Top 8 peaks for 2θ from 10° to 80°, in order of rising 2θ:
2θ/deg  I_rel
30.44  100
35.10  2
35.29  51
50.77  37
60.36  44
63.34  13
74.56  2
74.68  4

***

3.
Simulated powder diffraction line list of Rb5HgP2 for Cu Kα, from the PBE geometry in Alexandria.
Kinematic intensities with the Lorentz-polarization factor, no thermal factor.

Atomic structure:
```
Rb5HgP2
1.0
6.145 0.000 0.000
-3.073 5.322 0.000
0.000 0.000 20.585
Rb Hg P
10 2 4
direct
0.000 0.000 0.135
0.000 0.000 0.365
0.000 0.000 0.635
0.000 0.000 0.865
0.333 0.667 0.043
0.333 0.667 0.250
0.333 0.667 0.457
0.667 0.333 0.543
0.667 0.333 0.750
0.667 0.333 0.957
0.333 0.667 0.750
0.667 0.333 0.250
0.333 0.667 0.631
0.333 0.667 0.869
0.667 0.333 0.131
0.667 0.333 0.369
```

Top 8 peaks for 2θ from 10° to 80°, in order of rising 2θ:
2θ/deg  I_rel
21.13  26
24.05  68
29.06  100
34.86  26
38.07  21
46.00  28
48.60  21
53.59  23

***

4.
Simulated powder diffraction line list of CsSiNO2 for Cu Kα, from the PBE geometry in Alexandria.
Kinematic intensities with the Lorentz-polarization factor, no thermal factor.

Atomic structure:
```
CsSiNO2
1.0
3.596 0.000 0.000
0.000 3.596 0.000
0.000 0.000 4.554
Cs Si N O
1 1 1 2
direct
0.000 0.000 0.000
0.500 0.500 0.500
0.500 0.500 0.000
0.000 0.500 0.500
0.500 0.000 0.500
```

Top 8 peaks for 2θ from 10° to 80°, in order of rising 2θ:
2θ/deg  I_rel
19.49  24
24.76  33
31.71  100
35.30  34
39.58  27
40.64  51
50.78  25
61.12  32

***

5.
Simulated powder diffraction line list of UCrB4 for Cu Kα, from the PBE geometry in Alexandria.
Kinematic intensities with the Lorentz-polarization factor, no thermal factor.

Atomic structure:
```
UCrB4
1.0
5.857 0.000 0.000
0.000 11.354 0.000
0.000 0.000 3.483
U Cr B
4 4 16
direct
0.126 0.151 0.000
0.374 0.651 0.000
0.626 0.349 0.000
0.874 0.849 0.000
0.131 0.412 0.000
0.369 0.912 0.000
0.631 0.088 0.000
0.869 0.588 0.000
0.027 0.692 0.500
0.114 0.546 0.500
0.135 0.967 0.500
0.215 0.813 0.500
0.285 0.313 0.500
0.365 0.467 0.500
0.386 0.046 0.500
0.473 0.192 0.500
0.527 0.808 0.500
0.614 0.954 0.500
0.635 0.533 0.500
0.715 0.687 0.500
0.785 0.187 0.500
0.865 0.033 0.500
0.886 0.454 0.500
0.973 0.308 0.500
```

Top 8 peaks for 2θ from 10° to 80°, in order of rising 2θ:
2θ/deg  I_rel
21.80  41
25.57  69
28.07  37
31.54  85
33.85  34
38.33  39
41.03  100
62.58  25

***

6.
Simulated powder diffraction line list of ZnPdF4 for Cu Kα, from the PBE geometry in Alexandria.
Kinematic intensities with the Lorentz-polarization factor, no thermal factor.

Atomic structure:
```
ZnPdF4
1.0
6.333 0.000 0.000
0.000 6.333 0.000
0.000 0.000 4.916
Zn Pd F
2 2 8
direct
0.000 0.000 0.000
0.500 0.500 0.500
0.000 0.500 0.750
0.500 0.000 0.250
0.122 0.208 0.755
0.208 0.878 0.245
0.292 0.622 0.745
0.378 0.292 0.255
0.622 0.708 0.255
0.708 0.378 0.745
0.792 0.122 0.245
0.878 0.792 0.755
```

Top 8 peaks for 2θ from 10° to 80°, in order of rising 2θ:
2θ/deg  I_rel
22.90  100
28.18  29
36.61  44
40.28  16
41.93  25
46.84  11
55.56  18
59.55  27

***

7.
Simulated powder diffraction line list of Hf3N4 for Cu Kα, from the PBE geometry in Alexandria.
Kinematic intensities with the Lorentz-polarization factor, no thermal factor.

Atomic structure:
```
Hf3N4
1.0
9.816 0.000 0.000
0.000 3.244 0.000
0.000 0.000 10.721
Hf N
12 16
direct
0.070 0.250 0.125
0.106 0.250 0.593
0.227 0.250 0.854
0.273 0.750 0.354
0.394 0.750 0.093
0.430 0.750 0.625
0.570 0.250 0.375
0.606 0.250 0.907
0.727 0.250 0.646
0.773 0.750 0.146
0.894 0.750 0.407
0.930 0.750 0.875
0.009 0.250 0.775
0.103 0.750 0.470
0.142 0.750 0.982
0.238 0.750 0.715
0.262 0.250 0.215
0.358 0.250 0.482
0.397 0.250 0.970
0.491 0.750 0.275
0.509 0.250 0.725
0.603 0.750 0.030
0.642 0.750 0.518
0.738 0.750 0.785
0.762 0.250 0.285
0.858 0.250 0.018
0.897 0.250 0.530
0.991 0.750 0.225
```

Top 8 peaks for 2θ from 10° to 80°, in order of rising 2θ:
2θ/deg  I_rel
32.05  100
33.10  47
33.43  35
33.55  58
38.59  24
47.76  32
57.50  27
66.68  25

***

8.
Simulated powder diffraction line list of TbCeC for Cu Kα, from the PBE geometry in Alexandria.
Kinematic intensities with the Lorentz-polarization factor, no thermal factor.

Atomic structure:
```
TbCeC
1.0
3.556 0.000 0.000
-1.778 3.080 0.000
0.000 0.000 12.837
Tb Ce C
2 2 2
direct
0.000 0.000 0.000
0.000 0.000 0.500
0.333 0.667 0.217
0.667 0.333 0.717
0.333 0.667 0.609
0.667 0.333 0.109
```

Top 8 peaks for 2θ from 10° to 80°, in order of rising 2θ:
2θ/deg  I_rel
27.80  34
29.84  32
32.24  100
35.93  24
40.60  17
51.39  25
52.05  20
59.43  25

***

9.
Simulated powder diffraction line list of YMnCo for Cu Kα, from the PBE geometry in Alexandria.
Kinematic intensities with the Lorentz-polarization factor, no thermal factor.

Atomic structure:
```
YMnCo
1.0
5.233 0.000 0.000
0.000 5.315 0.000
0.000 0.000 7.098
Y Mn Co
4 4 4
direct
0.000 0.250 0.120
0.000 0.750 0.880
0.500 0.250 0.380
0.500 0.750 0.620
0.000 0.000 0.500
0.000 0.500 0.500
0.500 0.000 0.000
0.500 0.500 0.000
0.250 0.250 0.750
0.250 0.750 0.250
0.750 0.250 0.750
0.750 0.750 0.250
```

Top 8 peaks for 2θ from 10° to 80°, in order of rising 2θ:
2θ/deg  I_rel
34.90  81
40.12  99
40.47  100
41.79  51
41.90  38
42.49  35
42.94  42
73.70  43

***

10.
Simulated powder diffraction line list of Pu2Zr13 for Cu Kα, from the PBE geometry in Alexandria.
Kinematic intensities with the Lorentz-polarization factor, no thermal factor.

Atomic structure:
```
Pu2Zr13
1.0
5.943 0.000 0.000
1.197 8.002 0.000
1.207 3.242 7.343
Pu Zr
2 13
direct
0.102 0.433 0.267
0.898 0.567 0.733
0.000 0.000 0.500
0.101 0.760 0.936
0.200 0.198 0.702
0.292 0.631 0.470
0.299 0.966 0.133
0.400 0.399 0.899
0.493 0.169 0.334
0.507 0.831 0.666
0.600 0.601 0.101
0.701 0.034 0.867
0.708 0.369 0.530
0.800 0.802 0.298
0.899 0.240 0.064
```

Top 8 peaks for 2θ from 10° to 80°, in order of rising 2θ:
2θ/deg  I_rel
12.09  10
28.22  12
34.95  43
35.08  42
35.55  100
50.63  10
50.86  15
63.85  18

***

11.
Simulated powder diffraction line list of Pm2ErCd3 for Cu Kα, from the PBE geometry in Alexandria.
Kinematic intensities with the Lorentz-polarization factor, no thermal factor.

Atomic structure:
```
Pm2ErCd3
1.0
5.359 0.000 0.000
-2.680 4.641 0.000
0.000 0.000 13.173
Pm Er Cd
4 2 6
direct
0.000 0.000 0.000
0.000 0.000 0.500
0.333 0.667 0.170
0.667 0.333 0.830
0.333 0.667 0.667
0.667 0.333 0.333
0.000 0.000 0.254
0.000 0.000 0.746
0.333 0.667 0.418
0.333 0.667 0.914
0.667 0.333 0.086
0.667 0.333 0.582
```

Top 8 peaks for 2θ from 10° to 80°, in order of rising 2θ:
2θ/deg  I_rel
23.45  2
33.40  100
47.96  18
59.57  9
59.74  27
70.07  6
70.25  6
79.90  8

***

12.
Simulated powder diffraction line list of LaMg4Sn2 for Cu Kα, from the PBE geometry in Alexandria.
Kinematic intensities with the Lorentz-polarization factor, no thermal factor.

Atomic structure:
```
LaMg4Sn2
1.0
8.785 0.000 0.000
0.000 8.785 0.000
0.000 0.000 4.636
La Mg Sn
2 8 4
direct
0.000 0.000 0.000
0.500 0.500 0.500
0.095 0.350 0.500
0.150 0.595 0.000
0.350 0.095 0.500
0.405 0.850 0.000
0.595 0.150 0.000
0.650 0.905 0.500
0.850 0.405 0.000
0.905 0.650 0.500
0.204 0.796 0.500
0.296 0.296 0.000
0.704 0.704 0.000
0.796 0.204 0.500
```

Top 8 peaks for 2θ from 10° to 80°, in order of rising 2θ:
2θ/deg  I_rel
14.26  32
23.95  54
28.74  49
29.81  100
36.28  50
37.75  44
38.85  30
60.13  30

***

13.
Simulated powder diffraction line list of Be2Nb2Sn for Cu Kα, from the PBE geometry in Alexandria.
Kinematic intensities with the Lorentz-polarization factor, no thermal factor.

Atomic structure:
```
Be2Nb2Sn
1.0
3.502 0.000 0.000
0.000 11.886 0.000
0.000 0.000 3.553
Be Nb Sn
4 4 2
direct
0.000 0.205 0.000
0.000 0.795 0.000
0.500 0.295 0.000
0.500 0.705 0.000
0.000 0.356 0.500
0.000 0.644 0.500
0.500 0.144 0.500
0.500 0.856 0.500
0.000 0.000 0.000
0.500 0.500 0.000
```

Top 8 peaks for 2θ from 10° to 80°, in order of rising 2θ:
2θ/deg  I_rel
29.28  38
34.17  85
36.82  100
39.53  61
51.43  17
63.20  29
66.63  27
67.44  25